Computed XRD peak list of In2SnBi2Pb4 for λ = 1.5418 Å (Cu Kα), from a GGA-PBE-relaxed structure.

The 10 most intense peaks (2θ from 10° to 80°), sorted by position:
| 2θ (°) | I_rel |
| --- | --- |
| 27.73 | 27 |
| 28.13 | 25 |
| 29.27 | 32 |
| 29.80 | 27 |
| 31.52 | 32 |
| 31.62 | 36 |
| 32.51 | 100 |
| 33.54 | 31 |
| 33.81 | 39 |
| 37.88 | 24 |

Structure:
```
data_In2SnBi2Pb4
_space_group_name_H-M_alt 'P 1'
_space_group_IT_number 1
_cell_length_a 6.5140
_cell_length_b 6.8876
_cell_length_c 7.0356
_cell_angle_alpha 79.31
_cell_angle_beta 67.49
_cell_angle_gamma 81.52
loop_
_space_group_symop_operation_xyz
'x,y,z'
loop_
_atom_site_label
_atom_site_type_symbol
_atom_site_fract_x
_atom_site_fract_y
_atom_site_fract_z
In1 In 0.1004 0.3356 0.3573
In2 In 0.8996 0.6644 0.6427
Sn1 Sn 0.5000 0.5000 0.0000
Bi1 Bi 0.2430 0.2820 0.7798
Bi2 Bi 0.7570 0.7180 0.2202
Pb1 Pb 0.2245 0.9059 0.1755
Pb2 Pb 0.3385 0.8075 0.6581
Pb3 Pb 0.6615 0.1925 0.3419
Pb4 Pb 0.7755 0.0941 0.8245
```

=====

Computed XRD peak list of Er4TlSbC for λ = 1.5418 Å (Cu Kα), from a GGA-PBE-relaxed structure.

The 10 most intense peaks (2θ from 10° to 80°), sorted by position:
| 2θ (°) | I_rel |
| --- | --- |
| 26.52 | 16 |
| 28.89 | 64 |
| 34.24 | 33 |
| 35.14 | 100 |
| 37.85 | 58 |
| 51.95 | 36 |
| 54.60 | 20 |
| 65.59 | 18 |
| 66.05 | 17 |
| 66.61 | 32 |

Structure:
```
data_Er4TlSbC
_space_group_name_H-M_alt 'P 1'
_space_group_IT_number 1
_cell_length_a 8.5454
_cell_length_b 8.5454
_cell_length_c 6.7215
_cell_angle_alpha 90.00
_cell_angle_beta 90.00
_cell_angle_gamma 133.66
loop_
_space_group_symop_operation_xyz
'x,y,z'
loop_
_atom_site_label
_atom_site_type_symbol
_atom_site_fract_x
_atom_site_fract_y
_atom_site_fract_z
Er1 Er 0.0000 0.5000 0.0000
Er2 Er 0.0000 0.5000 0.5000
Er3 Er 0.0897 0.9103 0.7500
Er4 Er 0.4072 0.5928 0.7500
Er5 Er 0.5000 0.0000 0.0000
Er6 Er 0.5000 0.0000 0.5000
Er7 Er 0.5928 0.4072 0.2500
Er8 Er 0.9103 0.0897 0.2500
Tl1 Tl 0.1101 0.8899 0.2500
Tl2 Tl 0.8899 0.1101 0.7500
Sb1 Sb 0.3912 0.6088 0.2500
Sb2 Sb 0.6088 0.3912 0.7500
C1 C 0.2509 0.7491 0.7500
C2 C 0.7491 0.2509 0.2500
```

=====

Computed XRD peak list of Sr12MgZn6 for λ = 1.5418 Å (Cu Kα), from a GGA-PBE-relaxed structure.

The 10 most intense peaks (2θ from 10° to 80°), sorted by position:
| 2θ (°) | I_rel |
| --- | --- |
| 24.75 | 15 |
| 27.16 | 34 |
| 29.38 | 100 |
| 31.46 | 15 |
| 33.42 | 15 |
| 40.44 | 27 |
| 46.56 | 29 |
| 49.39 | 22 |
| 57.28 | 17 |
| 71.33 | 15 |

Structure:
```
data_Sr12MgZn6
_space_group_name_H-M_alt 'P 1'
_space_group_IT_number 1
_cell_length_a 9.8503
_cell_length_b 9.8503
_cell_length_c 9.8503
_cell_angle_alpha 109.47
_cell_angle_beta 109.47
_cell_angle_gamma 109.47
loop_
_space_group_symop_operation_xyz
'x,y,z'
loop_
_atom_site_label
_atom_site_type_symbol
_atom_site_fract_x
_atom_site_fract_y
_atom_site_fract_z
Sr1 Sr 0.1111 0.2975 0.8137
Sr2 Sr 0.1863 0.4838 0.2975
Sr3 Sr 0.1863 0.8889 0.7025
Sr4 Sr 0.2975 0.1863 0.4838
Sr5 Sr 0.2975 0.8137 0.1111
Sr6 Sr 0.4838 0.2975 0.1863
Sr7 Sr 0.5162 0.7025 0.8137
Sr8 Sr 0.7025 0.1863 0.8889
Sr9 Sr 0.7025 0.8137 0.5162
Sr10 Sr 0.8137 0.1111 0.2975
Sr11 Sr 0.8137 0.5162 0.7025
Sr12 Sr 0.8889 0.7025 0.1863
Mg1 Mg 0.0000 0.0000 0.0000
Zn1 Zn 0.1146 0.5000 0.6146
Zn2 Zn 0.3854 0.8854 0.5000
Zn3 Zn 0.5000 0.3854 0.8854
Zn4 Zn 0.5000 0.6146 0.1146
Zn5 Zn 0.6146 0.1146 0.5000
Zn6 Zn 0.8854 0.5000 0.3854
```

=====

Computed XRD peak list of BSbO3 for λ = 1.5418 Å (Cu Kα), from a GGA-PBE-relaxed structure.

The 10 most intense peaks (2θ from 10° to 80°), sorted by position:
| 2θ (°) | I_rel |
| --- | --- |
| 20.41 | 21 |
| 23.55 | 100 |
| 23.99 | 98 |
| 24.81 | 86 |
| 25.84 | 42 |
| 34.08 | 22 |
| 35.48 | 38 |
| 43.21 | 21 |
| 43.67 | 38 |
| 44.42 | 34 |

Structure:
```
data_BSbO3
_space_group_name_H-M_alt 'P 1'
_space_group_IT_number 1
_cell_length_a 5.0638
_cell_length_b 5.0638
_cell_length_c 6.9114
_cell_angle_alpha 91.85
_cell_angle_beta 91.85
_cell_angle_gamma 120.63
loop_
_space_group_symop_operation_xyz
'x,y,z'
loop_
_atom_site_label
_atom_site_type_symbol
_atom_site_fract_x
_atom_site_fract_y
_atom_site_fract_z
B1 B 0.0157 0.9843 0.5000
B2 B 0.9843 0.0157 0.0000
Sb1 Sb 0.3375 0.6604 0.6529
Sb2 Sb 0.6604 0.3375 0.1529
O1 O 0.0762 0.2807 0.4784
O2 O 0.2512 0.9219 0.4789
O3 O 0.2807 0.0762 0.9784
O4 O 0.7231 0.7439 0.5257
O5 O 0.7439 0.7231 0.0257
O6 O 0.9219 0.2512 0.9789
```

=====

Computed XRD peak list of Ac3La4 for λ = 1.5418 Å (Cu Kα), from a GGA-PBE-relaxed structure.

The 10 most intense peaks (2θ from 10° to 80°), sorted by position:
| 2θ (°) | I_rel |
| --- | --- |
| 28.40 | 100 |
| 32.80 | 35 |
| 33.14 | 16 |
| 47.08 | 16 |
| 47.32 | 24 |
| 55.89 | 31 |
| 56.34 | 13 |
| 58.77 | 13 |
| 68.77 | 7 |
| 76.38 | 11 |

Structure:
```
data_Ac3La4
_space_group_name_H-M_alt 'P 1'
_space_group_IT_number 1
_cell_length_a 19.1186
_cell_length_b 19.1186
_cell_length_c 19.1186
_cell_angle_alpha 168.41
_cell_angle_beta 168.41
_cell_angle_gamma 16.42
loop_
_space_group_symop_operation_xyz
'x,y,z'
loop_
_atom_site_label
_atom_site_type_symbol
_atom_site_fract_x
_atom_site_fract_y
_atom_site_fract_z
Ac1 Ac 0.0000 0.0000 0.0000
Ac2 Ac 0.2888 0.2888 0.0000
Ac3 Ac 0.7112 0.7112 0.0000
La1 La 0.1391 0.1391 0.0000
La2 La 0.4273 0.4273 0.0000
La3 La 0.5727 0.5727 0.0000
La4 La 0.8609 0.8609 0.0000
```

=====

Computed XRD peak list of Sc2Ni5Ge4 for λ = 1.5418 Å (Cu Kα), from a GGA-PBE-relaxed structure.

The 10 most intense peaks (2θ from 10° to 80°), sorted by position:
| 2θ (°) | I_rel |
| --- | --- |
| 19.68 | 49 |
| 20.79 | 59 |
| 35.11 | 39 |
| 39.48 | 100 |
| 40.29 | 34 |
| 43.22 | 97 |
| 47.21 | 33 |
| 47.64 | 47 |
| 47.91 | 50 |
| 50.94 | 42 |

Structure:
```
data_Sc2Ni5Ge4
_space_group_name_H-M_alt 'P 1'
_space_group_IT_number 1
_cell_length_a 8.4711
_cell_length_b 7.6197
_cell_length_c 5.1955
_cell_angle_alpha 80.33
_cell_angle_beta 62.46
_cell_angle_gamma 37.20
loop_
_space_group_symop_operation_xyz
'x,y,z'
loop_
_atom_site_label
_atom_site_type_symbol
_atom_site_fract_x
_atom_site_fract_y
_atom_site_fract_z
Sc1 Sc 0.1350 0.1350 0.8650
Sc2 Sc 0.8650 0.8650 0.1350
Ni1 Ni 0.0000 0.0000 0.5000
Ni2 Ni 0.2500 0.2500 0.2500
Ni3 Ni 0.5000 0.5000 0.0000
Ni4 Ni 0.5000 0.5000 0.5000
Ni5 Ni 0.7500 0.7500 0.7500
Ge1 Ge 0.2165 0.5222 0.4778
Ge2 Ge 0.4778 0.7835 0.2165
Ge3 Ge 0.5222 0.2165 0.7835
Ge4 Ge 0.7835 0.4778 0.5222
```

=====

Computed XRD peak list of Ca2Ac2NiAu2 for λ = 1.5418 Å (Cu Kα), from a GGA-PBE-relaxed structure.

The 10 most intense peaks (2θ from 10° to 80°), sorted by position:
| 2θ (°) | I_rel |
| --- | --- |
| 12.61 | 31 |
| 13.31 | 92 |
| 27.13 | 34 |
| 27.32 | 30 |
| 29.47 | 53 |
| 31.65 | 100 |
| 32.38 | 45 |
| 34.78 | 45 |
| 37.09 | 63 |
| 43.60 | 28 |

Structure:
```
data_Ca2Ac2NiAu2
_space_group_name_H-M_alt 'P 1'
_space_group_IT_number 1
_cell_length_a 4.1519
_cell_length_b 7.7740
_cell_length_c 7.9107
_cell_angle_alpha 116.41
_cell_angle_beta 90.03
_cell_angle_gamma 105.36
loop_
_space_group_symop_operation_xyz
'x,y,z'
loop_
_atom_site_label
_atom_site_type_symbol
_atom_site_fract_x
_atom_site_fract_y
_atom_site_fract_z
Ca1 Ca 0.2116 0.4230 0.2754
Ca2 Ca 0.7884 0.5770 0.7246
Ac1 Ac 0.4632 0.9261 0.2189
Ac2 Ac 0.5368 0.0739 0.7811
Ni1 Ni 0.0000 0.0000 0.0000
Au1 Au 0.1176 0.2339 0.5557
Au2 Au 0.8824 0.7661 0.4443
```

=====

Computed XRD peak list of CsPa4S8 for λ = 1.5418 Å (Cu Kα), from a GGA-PBE-relaxed structure.

The 10 most intense peaks (2θ from 10° to 80°), sorted by position:
| 2θ (°) | I_rel |
| --- | --- |
| 21.25 | 34 |
| 21.84 | 33 |
| 25.43 | 39 |
| 25.65 | 100 |
| 26.38 | 36 |
| 27.31 | 50 |
| 36.43 | 33 |
| 43.26 | 39 |
| 43.97 | 31 |
| 46.45 | 39 |

Structure:
```
data_CsPa4S8
_space_group_name_H-M_alt 'P 1'
_space_group_IT_number 1
_cell_length_a 8.9848
_cell_length_b 8.9848
_cell_length_c 12.3631
_cell_angle_alpha 125.66
_cell_angle_beta 125.66
_cell_angle_gamma 26.50
loop_
_space_group_symop_operation_xyz
'x,y,z'
loop_
_atom_site_label
_atom_site_type_symbol
_atom_site_fract_x
_atom_site_fract_y
_atom_site_fract_z
Cs1 Cs 0.0000 0.0000 0.0000
Pa1 Pa 0.0891 0.0891 0.7176
Pa2 Pa 0.3052 0.3052 0.4831
Pa3 Pa 0.5792 0.5792 0.4265
Pa4 Pa 0.7829 0.7829 0.0859
S1 S 0.1920 0.1920 0.5938
S2 S 0.2726 0.2726 0.2196
S3 S 0.2849 0.2849 0.9406
S4 S 0.4848 0.4848 0.5334
S5 S 0.5984 0.5984 0.8800
S6 S 0.6805 0.6805 0.3315
S7 S 0.9022 0.9022 0.6582
S8 S 0.9755 0.9755 0.2519
```